[1]
Starting from a PBE-relaxed structure, the powder X-ray diffraction pattern of Ti3N4 was calculated for Cu Kα (λ = 1.5418 Å).
Kinematic intensities with the Lorentz-polarization factor, no thermal factor.

Largest 10 diffraction maxima, sorted by position, 2θ from 10° to 90°:
33.78 deg, d = 2.654 Å, I 100, (3 0 2); 35.41 deg, d = 2.535 Å, I 37, (2 1 0); 35.82 deg, d = 2.507 Å, I 22, (0 0 4); 36.08 deg, d = 2.490 Å, I 65, (1 1 2); 41.48 deg, d = 2.177 Å, I 34, (1 1 3); 42.57 deg, d = 2.124 Å, I 25, (4 0 2); 51.25 deg, d = 1.782 Å, I 45, (2 1 4); 58.69 deg, d = 1.573 Å, I 36, (2 1 5); 61.04 deg, d = 1.518 Å, I 32, (5 1 2); 61.57 deg, d = 1.506 Å, I 21, (0 2 0)

Atomic structure:
```
data_Ti3N4
_chemical_formula_sum 'Ti12 N16'
_cell_length_a 9.3832
_cell_length_b 3.0125
_cell_length_c 10.0272
_cell_angle_alpha 90.00
_cell_angle_beta 90.00
_cell_angle_gamma 90.00
_symmetry_space_group_name_H-M 'P n m a'
_symmetry_Int_Tables_number 62
loop_
_symmetry_equiv_pos_as_xyz
'x,y,z'
'-x,-y,-z'
'-x+1/2,-y,z+1/2'
'x+1/2,y,-z+1/2'
'x+1/2,-y+1/2,-z+1/2'
'-x+1/2,y+1/2,z+1/2'
'-x,y+1/2,-z'
'x,-y+1/2,z'
loop_
_atom_site_label
_atom_site_type_symbol
_atom_site_fract_x
_atom_site_fract_y
_atom_site_fract_z
Ti1 Ti 0.0702 0.2500 0.1249
Ti2 Ti 0.1089 0.2500 0.5931
Ti3 Ti 0.2223 0.2500 0.8563
N1 N 0.0089 0.2500 0.7744
N2 N 0.1041 0.7500 0.4673
N3 N 0.1412 0.7500 0.9838
N4 N 0.2398 0.7500 0.7142
```



[2]
Starting from a PBE-relaxed structure, the powder X-ray diffraction pattern of TiV3N was calculated for Cu Kα (λ = 1.5418 Å).
Kinematic intensities with the Lorentz-polarization factor, no thermal factor.

Largest 10 diffraction maxima, sorted by position, 2θ from 10° to 90°:
39.52 deg, d = 2.280 Å, I 92, (1 1 2); 39.94 deg, d = 2.257 Å, I 100, (3 1 -2); 41.83 deg, d = 2.160 Å, I 54, (4 0 0); 43.01 deg, d = 2.103 Å, I 54, (0 2 0); 53.14 deg, d = 1.724 Å, I 20, (2 0 -4); 61.56 deg, d = 1.507 Å, I 30, (4 2 0); 70.67 deg, d = 1.333 Å, I 16, (2 2 -4); 75.38 deg, d = 1.261 Å, I 12, (7 1 -2); 76.48 deg, d = 1.245 Å, I 11, (1 3 2); 76.76 deg, d = 1.242 Å, I 12, (3 3 -2)

Atomic structure:
```
data_TiV3N
_chemical_formula_sum 'Ti4 V12 N4'
_cell_length_a 9.2549
_cell_length_b 4.2055
_cell_length_c 6.8948
_cell_angle_alpha 90.00
_cell_angle_beta 111.03
_cell_angle_gamma 90.00
_symmetry_space_group_name_H-M 'C 1 2/m 1'
_symmetry_Int_Tables_number 12
loop_
_symmetry_equiv_pos_as_xyz
'x,y,z'
'-x,-y,-z'
'-x,y,-z'
'x,-y,z'
'x+1/2,y+1/2,z'
'-x+1/2,-y+1/2,-z'
'-x+1/2,y+1/2,-z'
'x+1/2,-y+1/2,z'
loop_
_atom_site_label
_atom_site_type_symbol
_atom_site_fract_x
_atom_site_fract_y
_atom_site_fract_z
Ti1 Ti 0.1364 0.0000 0.1983
V1 V 0.1050 0.5000 0.4027
V2 V 0.1277 0.0000 0.6848
V3 V 0.1278 0.5000 0.9732
N1 N 0.1254 0.5000 0.6907
```



[3]
Starting from a PBE-relaxed structure, the powder X-ray diffraction pattern of YTi2N was calculated for Cu Kα (λ = 1.5418 Å).
Kinematic intensities with the Lorentz-polarization factor, no thermal factor.

Largest 10 diffraction maxima, sorted by position, 2θ from 10° to 90°:
28.85 deg, d = 3.095 Å, I 82, (1 1 2); 33.96 deg, d = 2.640 Å, I 100, (2 1 1); 35.52 deg, d = 2.527 Å, I 22, (2 0 2); 51.12 deg, d = 1.787 Å, I 32, (2 0 4); 54.46 deg, d = 1.685 Å, I 28, (1 0 5); 59.76 deg, d = 1.548 Å, I 28, (2 2 4); 67.69 deg, d = 1.384 Å, I 15, (3 3 2); 70.54 deg, d = 1.335 Å, I 11, (4 1 3); 82.45 deg, d = 1.170 Å, I 14, (5 1 2); 85.13 deg, d = 1.140 Å, I 17, (4 1 5)

Atomic structure:
```
data_YTi2N
_chemical_formula_sum 'Y4 Ti8 N4'
_cell_length_a 6.1908
_cell_length_b 6.1908
_cell_length_c 8.7525
_cell_angle_alpha 90.00
_cell_angle_beta 90.00
_cell_angle_gamma 90.00
_symmetry_space_group_name_H-M 'I -4 2 d'
_symmetry_Int_Tables_number 122
_symmetry_space_group_name_Hall 'I -4 2bw'
loop_
_atom_site_label
_atom_site_type_symbol
_atom_site_fract_x
_atom_site_fract_y
_atom_site_fract_z
Y1 Y 0.0000 0.0000 0.0000
Ti1 Ti 0.0399 0.2500 0.6250
N1 N 0.0000 0.0000 0.5000
```



[4]
Starting from a PBE-relaxed structure, the powder X-ray diffraction pattern of Ti4Zn2N was calculated for Cu Kα (λ = 1.5418 Å).
Kinematic intensities with the Lorentz-polarization factor, no thermal factor.

Largest 10 diffraction maxima, sorted by position, 2θ from 10° to 90°:
29.70 deg, d = 3.008 Å, I 27, (0 0 1); 33.56 deg, d = 2.671 Å, I 36, (1 1 1); 36.50 deg, d = 2.461 Å, I 22, (0 4 0); 37.13 deg, d = 2.421 Å, I 66, (2 3 0); 38.69 deg, d = 2.327 Å, I 78, (1 4 0); 40.17 deg, d = 2.245 Å, I 100, (2 1 1); 41.97 deg, d = 2.153 Å, I 33, (3 2 0); 42.67 deg, d = 2.119 Å, I 63, (1 3 1); 47.74 deg, d = 1.905 Å, I 25, (0 4 1); 75.90 deg, d = 1.254 Å, I 36, (5 2 1)

Atomic structure:
```
data_Ti4Zn2N
_chemical_formula_sum 'Ti8 Zn4 N2'
_cell_length_a 7.1805
_cell_length_b 9.8459
_cell_length_c 3.0083
_cell_angle_alpha 90.00
_cell_angle_beta 90.00
_cell_angle_gamma 90.00
_symmetry_space_group_name_H-M 'P b a m'
_symmetry_Int_Tables_number 55
loop_
_symmetry_equiv_pos_as_xyz
'x,y,z'
'-x,-y,-z'
'-x,-y,z'
'x,y,-z'
'x+1/2,-y+1/2,-z'
'-x+1/2,y+1/2,z'
'-x+1/2,y+1/2,-z'
'x+1/2,-y+1/2,z'
loop_
_atom_site_label
_atom_site_type_symbol
_atom_site_fract_x
_atom_site_fract_y
_atom_site_fract_z
Ti1 Ti 0.1365 0.1860 0.0000
Ti2 Ti 0.1686 0.9290 0.5000
Zn1 Zn 0.0547 0.6317 0.5000
N1 N 0.0000 0.0000 0.0000
```



[5]
Starting from a PBE-relaxed structure, the powder X-ray diffraction pattern of Ti6ZnN4 was calculated for Cu Kα (λ = 1.5418 Å).
Kinematic intensities with the Lorentz-polarization factor, no thermal factor.

Largest 10 diffraction maxima, sorted by position, 2θ from 10° to 90°:
36.79 deg, d = 2.443 Å, I 18, (0 4 2); 38.02 deg, d = 2.367 Å, I 100, (0 2 6); 39.89 deg, d = 2.260 Å, I 23, (1 3 1); 41.12 deg, d = 2.195 Å, I 72, (1 3 2); 41.78 deg, d = 2.162 Å, I 21, (0 4 4); 43.10 deg, d = 2.099 Å, I 15, (1 3 3); 60.40 deg, d = 1.533 Å, I 16, (2 0 0); 61.65 deg, d = 1.505 Å, I 13, (1 3 8); 72.08 deg, d = 1.310 Å, I 12, (1 3 10); 73.64 deg, d = 1.286 Å, I 12, (2 2 6)

Atomic structure:
```
data_Ti6ZnN4
_chemical_formula_sum 'Ti24 Zn4 N16'
_cell_length_a 3.0654
_cell_length_b 10.2611
_cell_length_c 15.9999
_cell_angle_alpha 90.00
_cell_angle_beta 90.00
_cell_angle_gamma 90.00
_symmetry_space_group_name_H-M 'C m c m'
_symmetry_Int_Tables_number 63
_symmetry_space_group_name_Hall '-C 2c 2'
loop_
_atom_site_label
_atom_site_type_symbol
_atom_site_fract_x
_atom_site_fract_y
_atom_site_fract_z
Ti1 Ti 0.0000 0.0000 0.0000
Ti2 Ti 0.0000 0.1376 0.2500
Ti3 Ti 0.0000 0.2794 0.5786
Ti4 Ti 0.0000 0.4641 0.1465
Zn1 Zn 0.0000 0.1611 0.7500
N1 N 0.0000 0.0918 0.1211
N2 N 0.0000 0.3615 0.0394
```



[6]
Starting from a PBE-relaxed structure, the powder X-ray diffraction pattern of TiZnN was calculated for Cu Kα (λ = 1.5418 Å).
Kinematic intensities with the Lorentz-polarization factor, no thermal factor.

Largest 10 diffraction maxima, sorted by position, 2θ from 10° to 90°:
30.75 deg, d = 2.907 Å, I 87, (1 0 1); 33.86 deg, d = 2.647 Å, I 59, (1 0 3); 39.43 deg, d = 2.285 Å, I 81, (1 0 5); 39.83 deg, d = 2.263 Å, I 60, (0 0 8); 43.45 deg, d = 2.083 Å, I 100, (1 1 0); 46.74 deg, d = 1.944 Å, I 25, (1 0 7); 60.40 deg, d = 1.533 Å, I 63, (1 1 8); 63.13 deg, d = 1.473 Å, I 29, (2 0 0); 77.03 deg, d = 1.238 Å, I 21, (2 1 5); 77.29 deg, d = 1.234 Å, I 28, (2 0 8)

Atomic structure:
```
data_TiZnN
_chemical_formula_sum 'Ti4 Zn4 N4'
_cell_length_a 2.9455
_cell_length_b 2.9455
_cell_length_c 18.1071
_cell_angle_alpha 90.00
_cell_angle_beta 90.00
_cell_angle_gamma 90.00
_symmetry_space_group_name_H-M 'I 4/m m m'
_symmetry_Int_Tables_number 139
_symmetry_space_group_name_Hall '-I 4 2'
loop_
_atom_site_label
_atom_site_type_symbol
_atom_site_fract_x
_atom_site_fract_y
_atom_site_fract_z
Ti1 Ti 0.0000 0.0000 0.1924
Zn1 Zn 0.0000 0.0000 0.4315
N1 N 0.0000 0.0000 0.3068
```



[7]
Starting from a PBE-relaxed structure, the powder X-ray diffraction pattern of Ti4Zn2N was calculated for Cu Kα (λ = 1.5418 Å).
Kinematic intensities with the Lorentz-polarization factor, no thermal factor.

Largest 10 diffraction maxima, sorted by position, 2θ from 10° to 90°:
13.19 deg, d = 6.711 Å, I 6, (1 1 1); 37.92 deg, d = 2.373 Å, I 26, (4 2 2); 40.32 deg, d = 2.237 Å, I 100, (3 3 3); 44.07 deg, d = 2.055 Å, I 23, (4 4 0); 46.90 deg, d = 1.937 Å, I 13, (4 4 2); 56.54 deg, d = 1.628 Å, I 7, (7 1 1); 68.50 deg, d = 1.370 Å, I 26, (6 6 0); 70.11 deg, d = 1.342 Å, I 6, (5 5 5); 74.87 deg, d = 1.268 Å, I 8, (8 4 2); 82.59 deg, d = 1.168 Å, I 17, (9 3 3)

Atomic structure:
a b c (Å): 11.6233 11.6233 11.6233
angles (deg): 90.00 90.00 90.00
Space group Fd-3m (No. 227, origin choice 2)
Asymmetric unit:
Ti 0.0000 0.0000 0.0000 x16
Ti 0.0556 0.3750 0.8750 x48
Zn 0.0371 0.0371 0.2129 x32
N 0.0000 0.0000 0.5000 x16



[8]
Starting from a PBE-relaxed structure, the powder X-ray diffraction pattern of TiZn4N4 was calculated for Cu Kα (λ = 1.5418 Å).
Kinematic intensities with the Lorentz-polarization factor, no thermal factor.

Largest 10 diffraction maxima, sorted by position, 2θ from 10° to 90°:
31.18 deg, d = 2.869 Å, I 79, (1 1 2); 33.75 deg, d = 2.656 Å, I 25, (3 1 0); 35.74 deg, d = 2.512 Å, I 100, (0 2 2); 36.43 deg, d = 2.466 Å, I 85, (3 1 1); 36.64 deg, d = 2.453 Å, I 29, (1 3 0); 43.64 deg, d = 2.074 Å, I 42, (3 1 2); 53.92 deg, d = 1.700 Å, I 26, (3 1 3); 55.34 deg, d = 1.660 Å, I 30, (0 0 4); 56.78 deg, d = 1.621 Å, I 34, (4 2 2); 76.10 deg, d = 1.251 Å, I 23, (3 5 2)

Atomic structure:
```
data_TiZn4N4
_chemical_formula_sum 'Ti4 Zn16 N16'
_cell_length_a 8.4914
_cell_length_b 7.6857
_cell_length_c 6.6402
_cell_angle_alpha 90.00
_cell_angle_beta 90.00
_cell_angle_gamma 90.00
_symmetry_space_group_name_H-M 'C m c m'
_symmetry_Int_Tables_number 63
_symmetry_space_group_name_Hall '-C 2c 2'
loop_
_atom_site_label
_atom_site_type_symbol
_atom_site_fract_x
_atom_site_fract_y
_atom_site_fract_z
Ti1 Ti 0.0000 0.1603 0.2500
Zn1 Zn 0.1484 0.2228 0.7500
Zn2 Zn 0.1614 0.5000 0.0000
N1 N 0.0000 0.2919 0.9995
N2 N 0.2022 0.0346 0.2500
```



[9]
Starting from a PBE-relaxed structure, the powder X-ray diffraction pattern of Zr2Ti4N3 was calculated for Cu Kα (λ = 1.5418 Å).
Kinematic intensities with the Lorentz-polarization factor, no thermal factor.

Largest 10 diffraction maxima, sorted by position, 2θ from 10° to 90°:
27.94 deg, d = 3.193 Å, I 20, (0 0 5); 33.68 deg, d = 2.661 Å, I 49, (0 0 6); 34.27 deg, d = 2.616 Å, I 100, (1 0 0); 34.74 deg, d = 2.582 Å, I 72, (1 0 1); 36.13 deg, d = 2.486 Å, I 19, (0 1 2); 41.26 deg, d = 2.188 Å, I 34, (1 0 4); 44.78 deg, d = 2.024 Å, I 93, (0 1 5); 48.81 deg, d = 1.866 Å, I 52, (1 0 6); 61.37 deg, d = 1.511 Å, I 42, (1 1 0); 71.87 deg, d = 1.314 Å, I 30, (1 1 6)

Atomic structure:
```
data_Zr2Ti4N3
_chemical_formula_sum 'Zr2 Ti4 N3'
_cell_length_a 3.0212
_cell_length_b 3.0212
_cell_length_c 15.9672
_cell_angle_alpha 90.00
_cell_angle_beta 90.00
_cell_angle_gamma 120.00
_symmetry_space_group_name_H-M 'P 3 m 1'
_symmetry_Int_Tables_number 156
loop_
_symmetry_equiv_pos_as_xyz
'x,y,z'
'-y,x-y,z'
'-x+y,-x,z'
'-y,-x,z'
'-x+y,y,z'
'x,x-y,z'
loop_
_atom_site_label
_atom_site_type_symbol
_atom_site_fract_x
_atom_site_fract_y
_atom_site_fract_z
Zr1 Zr 0.0000 0.0000 0.0000
Zr2 Zr 0.0000 0.0000 0.1867
Ti1 Ti 0.0000 0.0000 0.3643
Ti2 Ti 0.0000 0.0000 0.5242
Ti3 Ti 0.3333 0.6667 0.6752
Ti4 Ti 0.3333 0.6667 0.8360
N1 N 0.0000 0.0000 0.7572
N2 N 0.3333 0.6667 0.0957
N3 N 0.3333 0.6667 0.4380
```



[10]
Starting from a PBE-relaxed structure, the powder X-ray diffraction pattern of Zr3TiN3 was calculated for Cu Kα (λ = 1.5418 Å).
Kinematic intensities with the Lorentz-polarization factor, no thermal factor.

Largest 10 diffraction maxima, sorted by position, 2θ from 10° to 90°:
25.78 deg, d = 3.456 Å, I 29, (1 1 0); 32.18 deg, d = 2.781 Å, I 100, (1 1 3); 32.52 deg, d = 2.753 Å, I 71, (2 0 2); 38.42 deg, d = 2.343 Å, I 53, (0 0 6); 39.55 deg, d = 2.279 Å, I 41, (0 2 4); 40.38 deg, d = 2.233 Å, I 42, (2 1 1); 45.46 deg, d = 1.995 Å, I 32, (3 0 0); 55.76 deg, d = 1.649 Å, I 34, (1 3 1); 61.00 deg, d = 1.519 Å, I 25, (3 0 6); 74.11 deg, d = 1.279 Å, I 25, (1 3 7)

Atomic structure:
```
data_Zr3TiN3
_chemical_formula_sum 'Zr18 Ti6 N18'
_cell_length_a 6.9112
_cell_length_b 6.9112
_cell_length_c 14.0590
_cell_angle_alpha 90.00
_cell_angle_beta 90.00
_cell_angle_gamma 120.00
_symmetry_space_group_name_H-M 'R -3 c'
_symmetry_Int_Tables_number 167
_symmetry_space_group_name_Hall '-R 3 2"c'
loop_
_atom_site_label
_atom_site_type_symbol
_atom_site_fract_x
_atom_site_fract_y
_atom_site_fract_z
Zr1 Zr 0.0000 0.4034 0.2500
Ti1 Ti 0.0000 0.0000 0.2500
N1 N 0.0000 0.2802 0.7500
```



[11]
Starting from a PBE-relaxed structure, the powder X-ray diffraction pattern of Zr6TlN was calculated for Cu Kα (λ = 1.5418 Å).
Kinematic intensities with the Lorentz-polarization factor, no thermal factor.

Largest 10 diffraction maxima, sorted by position, 2θ from 10° to 90°:
25.89 deg, d = 3.441 Å, I 9, (0 1 2); 33.76 deg, d = 2.655 Å, I 100, (2 1 1); 34.72 deg, d = 2.584 Å, I 30, (0 0 3); 39.46 deg, d = 2.284 Å, I 69, (3 -2 2); 56.39 deg, d = 1.632 Å, I 20, (1 4 0); 57.68 deg, d = 1.598 Å, I 23, (2 1 4); 67.36 deg, d = 1.390 Å, I 10, (6 -4 1); 67.94 deg, d = 1.380 Å, I 20, (1 4 3); 69.10 deg, d = 1.359 Å, I 11, (3 -2 5); 71.00 deg, d = 1.328 Å, I 9, (4 2 2)

Atomic structure:
```
data_Zr6TlN
_chemical_formula_sum 'Zr18 Tl3 N3'
_cell_length_a 8.6342
_cell_length_b 8.6342
_cell_length_c 7.7519
_cell_angle_alpha 90.00
_cell_angle_beta 90.00
_cell_angle_gamma 120.00
_symmetry_space_group_name_H-M 'R -3'
_symmetry_Int_Tables_number 148
_symmetry_space_group_name_Hall '-R 3'
loop_
_atom_site_label
_atom_site_type_symbol
_atom_site_fract_x
_atom_site_fract_y
_atom_site_fract_z
Zr1 Zr 0.0728 0.2473 0.1586
Tl1 Tl 0.0000 0.0000 0.5000
N1 N 0.0000 0.0000 0.0000
```



[12]
Starting from a PBE-relaxed structure, the powder X-ray diffraction pattern of Zr2Tl4N was calculated for Cu Kα (λ = 1.5418 Å).
Kinematic intensities with the Lorentz-polarization factor, no thermal factor.

Largest 10 diffraction maxima, sorted by position, 2θ from 10° to 90°:
12.25 deg, d = 7.228 Å, I 19, (0 0 2); 28.77 deg, d = 3.103 Å, I 95, (1 1 2); 36.08 deg, d = 2.489 Å, I 100, (1 1 4); 37.00 deg, d = 2.429 Å, I 68, (2 0 0); 37.32 deg, d = 2.409 Å, I 26, (0 0 6); 53.33 deg, d = 1.718 Å, I 24, (2 2 0); 53.57 deg, d = 1.711 Å, I 38, (2 0 6); 61.72 deg, d = 1.503 Å, I 23, (3 1 2); 66.08 deg, d = 1.414 Å, I 33, (3 1 4); 66.90 deg, d = 1.399 Å, I 19, (2 2 6)

Atomic structure:
```
data_Zr2Tl4N
_chemical_formula_sum 'Zr4 Tl8 N2'
_cell_length_a 4.8586
_cell_length_b 4.8586
_cell_length_c 14.4556
_cell_angle_alpha 90.00
_cell_angle_beta 90.00
_cell_angle_gamma 90.00
_symmetry_space_group_name_H-M 'I 4/m m m'
_symmetry_Int_Tables_number 139
_symmetry_space_group_name_Hall '-I 4 2'
loop_
_atom_site_label
_atom_site_type_symbol
_atom_site_fract_x
_atom_site_fract_y
_atom_site_fract_z
Zr1 Zr 0.0000 0.0000 0.1368
Tl1 Tl 0.0000 0.0000 0.3361
Tl2 Tl 0.0000 0.5000 0.0000
N1 N 0.0000 0.0000 0.5000
```



Question: What is the formula in the fifth record?
Answer: Ti6ZnN4